Starting from a DFT-relaxed cell (GGA-PBE, Alexandria), the powder X-ray diffraction pattern of Na6Cu2AsC4O16 was calculated for a wavelength of 1.5418 Å.
No peak broadening, texture or thermal motion is included.

Most intense lines, 2θ = 10–80°, most intense first:
d/Å  I_rel
4.243  100
2.708  88
2.488  70
1.625  36
4.975  24
2.121  19

Crystal structure
a b c (Å): 9.950 9.950 9.950
angles (deg): 60.00 60.00 60.00
Fractional coordinates of all 58 atoms:
Na1 0.087 0.087 0.663
Na2 0.087 0.663 0.087
Na3 0.087 0.663 0.663
Na4 0.337 0.337 0.913
Na5 0.337 0.913 0.337
Na6 0.337 0.913 0.913
Na7 0.663 0.087 0.087
Na8 0.663 0.087 0.663
Na9 0.663 0.663 0.087
Na10 0.913 0.337 0.337
Na11 0.913 0.337 0.913
Na12 0.913 0.913 0.337
Cu1 0.000 0.500 0.500
Cu2 0.500 0.000 0.500
Cu3 0.500 0.500 0.000
Cu4 0.500 0.500 0.500
As1 0.125 0.125 0.125
As2 0.875 0.875 0.875
C1 0.285 0.285 0.285
C2 0.285 0.285 0.646
C3 0.285 0.646 0.285
C4 0.354 0.715 0.715
C5 0.646 0.285 0.285
C6 0.715 0.354 0.715
C7 0.715 0.715 0.354
C8 0.715 0.715 0.715
O1 0.054 0.054 0.054
O2 0.054 0.054 0.337
O3 0.054 0.337 0.054
O4 0.144 0.305 0.648
O5 0.144 0.402 0.305
O6 0.144 0.648 0.402
O7 0.305 0.144 0.402
O8 0.305 0.402 0.648
O9 0.305 0.648 0.144
O10 0.337 0.054 0.054
O11 0.352 0.598 0.856
O12 0.352 0.695 0.598
O13 0.352 0.856 0.695
O14 0.402 0.144 0.648
O15 0.402 0.305 0.144
O16 0.402 0.648 0.305
O17 0.598 0.352 0.695
O18 0.598 0.695 0.856
O19 0.598 0.856 0.352
O20 0.648 0.144 0.305
O21 0.648 0.305 0.402
O22 0.648 0.402 0.144
O23 0.663 0.946 0.946
O24 0.695 0.352 0.856
O25 0.695 0.598 0.352
O26 0.695 0.856 0.598
O27 0.856 0.352 0.598
O28 0.856 0.598 0.695
O29 0.856 0.695 0.352
O30 0.946 0.663 0.946
O31 0.946 0.946 0.663
O32 0.946 0.946 0.946

***

Starting from a DFT-relaxed cell (GGA-PBE, Alexandria), the powder X-ray diffraction pattern of Sm4Ho5 was calculated for a wavelength of 1.5418 Å.
No peak broadening, texture or thermal motion is included.

Most intense lines, 2θ = 10–80°, most intense first:
d/Å  I_rel
2.914  100
2.523  51
1.784  36
1.523  29
1.520  14
1.457  12

Crystal structure
a b c (Å): 7.984 7.984 7.984
angles (deg): 95.71 95.71 143.22
Fractional coordinates of all 9 atoms:
Sm1 0.167 0.167 0.333
Sm2 0.167 0.833 0.000
Sm3 0.833 0.167 0.000
Sm4 0.833 0.833 0.667
Ho1 0.166 0.500 0.666
Ho2 0.500 0.166 0.666
Ho3 0.500 0.500 0.000
Ho4 0.500 0.834 0.334
Ho5 0.834 0.500 0.334

***

Starting from a DFT-relaxed cell (GGA-PBE, Alexandria), the powder X-ray diffraction pattern of Ni13Sb2 was calculated for a wavelength of 1.5418 Å.
No peak broadening, texture or thermal motion is included.

Most intense lines, 2θ = 10–80°, most intense first:
d/Å  I_rel
2.059  100
1.933  73
2.188  59
5.268  54
1.583  42
2.024  26

Crystal structure
a b c (Å): 7.338 7.338 7.338
angles (deg): 51.09 51.09 51.09
Fractional coordinates of all 15 atoms:
Ni1 0.000 0.000 0.000
Ni2 0.120 0.120 0.507
Ni3 0.120 0.507 0.120
Ni4 0.249 0.249 0.621
Ni5 0.249 0.621 0.249
Ni6 0.379 0.751 0.751
Ni7 0.493 0.880 0.880
Ni8 0.507 0.120 0.120
Ni9 0.621 0.249 0.249
Ni10 0.751 0.379 0.751
Ni11 0.751 0.751 0.379
Ni12 0.880 0.493 0.880
Ni13 0.880 0.880 0.493
Sb1 0.138 0.138 0.138
Sb2 0.862 0.862 0.862